# 1
Diffraction record for ZrFe10B3. The X-ray powder pattern is simulated, not measured: it uses the PBE geometry in Alexandria and Cu Kα, 1.54184 Å.
Intensities are scaled so that the largest is 100.

Atomic structure:
a b c (Å): 7.582 7.582 7.582
angles (deg): 60.00 60.00 60.00
Positions (direct):
Zr  0.250  0.250  0.250
Zr  0.750  0.750  0.750
Fe  0.000  0.000  0.336
Fe  0.000  0.000  0.664
Fe  0.000  0.336  0.000
Fe  0.000  0.336  0.664
Fe  0.000  0.664  0.000
Fe  0.000  0.664  0.336
Fe  0.159  0.614  0.614
Fe  0.336  0.000  0.000
Fe  0.336  0.000  0.664
Fe  0.336  0.664  0.000
Fe  0.386  0.386  0.386
Fe  0.386  0.386  0.841
Fe  0.386  0.841  0.386
Fe  0.614  0.159  0.614
Fe  0.614  0.614  0.159
Fe  0.614  0.614  0.614
Fe  0.664  0.000  0.000
Fe  0.664  0.000  0.336
Fe  0.664  0.336  0.000
Fe  0.841  0.386  0.386
B  0.273  0.273  0.727
B  0.273  0.727  0.273
B  0.273  0.727  0.727
B  0.727  0.273  0.273
B  0.727  0.273  0.727
B  0.727  0.727  0.273

Most intense lines, 10° ≤ 2θ ≤ 90°, by angle:
| 2θ/deg | Rel. int. |
| --- | --- |
| 37.51 | 71 |
| 41.25 | 36 |
| 43.88 | 100 |
| 48.00 | 24 |
| 50.35 | 44 |
| 56.97 | 19 |
| 72.73 | 19 |
| 75.19 | 28 |
| 81.85 | 11 |
| 89.58 | 17 |



# 2
Diffraction record for RuSe5. The X-ray powder pattern is simulated, not measured: it uses the PBE geometry in Alexandria and Cu Kα, 1.54184 Å.
Intensities are scaled so that the largest is 100.

Atomic structure:
a b c (Å): 5.302 3.707 13.143
angles (deg): 90.00 90.00 90.00
Positions (direct):
Ru  0.000  0.000  0.000
Ru  0.000  0.500  0.500
Se  0.000  0.000  0.378
Se  0.000  0.000  0.632
Se  0.000  0.500  0.132
Se  0.000  0.500  0.878
Se  0.500  0.000  0.019
Se  0.500  0.000  0.312
Se  0.500  0.000  0.663
Se  0.500  0.500  0.163
Se  0.500  0.500  0.519
Se  0.500  0.500  0.812

Most intense lines, 10° ≤ 2θ ≤ 90°, by angle:
| 2θ/deg | Rel. int. |
| --- | --- |
| 13.47 | 16 |
| 21.53 | 19 |
| 31.62 | 100 |
| 33.81 | 52 |
| 45.64 | 23 |
| 46.97 | 65 |
| 49.16 | 18 |
| 54.31 | 13 |
| 61.00 | 18 |
| 79.92 | 14 |



# 3
Diffraction record for CrRuN. The X-ray powder pattern is simulated, not measured: it uses the PBE geometry in Alexandria and Cu Kα, 1.54184 Å.
Intensities are scaled so that the largest is 100.

Atomic structure:
a b c (Å): 2.864 3.972 5.585
angles (deg): 90.00 90.00 90.00
Positions (direct):
Cr  0.250  0.250  0.153
Cr  0.750  0.750  0.847
Ru  0.250  0.250  0.619
Ru  0.750  0.750  0.381
N  0.250  0.750  0.110
N  0.750  0.250  0.890

Most intense lines, 10° ≤ 2θ ≤ 90°, by angle:
| 2θ/deg | Rel. int. |
| --- | --- |
| 15.87 | 24 |
| 27.56 | 15 |
| 38.76 | 100 |
| 39.44 | 91 |
| 42.13 | 23 |
| 45.36 | 83 |
| 45.68 | 42 |
| 66.34 | 49 |
| 78.90 | 23 |
| 80.22 | 30 |



# 4
Diffraction record for Sn3HgPb2. The X-ray powder pattern is simulated, not measured: it uses the PBE geometry in Alexandria and Cu Kα, 1.54184 Å.
Intensities are scaled so that the largest is 100.

Atomic structure:
a b c (Å): 6.228 6.284 8.968
angles (deg): 90.00 90.00 90.00
Positions (direct):
Sn  0.000  0.000  0.000
Sn  0.250  0.247  0.290
Sn  0.250  0.753  0.290
Sn  0.500  0.000  0.000
Sn  0.750  0.247  0.710
Sn  0.750  0.753  0.710
Hg  0.250  0.500  0.593
Hg  0.750  0.500  0.407
Pb  0.250  0.000  0.654
Pb  0.250  0.500  0.942
Pb  0.750  0.000  0.346
Pb  0.750  0.500  0.058

Most intense lines, 10° ≤ 2θ ≤ 90°, by angle:
| 2θ/deg | Rel. int. |
| --- | --- |
| 28.39 | 35 |
| 28.67 | 57 |
| 29.89 | 37 |
| 33.24 | 59 |
| 33.47 | 100 |
| 34.87 | 31 |
| 36.27 | 25 |
| 37.83 | 26 |
| 37.98 | 38 |
| 53.91 | 27 |



# 5
Diffraction record for CaTcGe2. The X-ray powder pattern is simulated, not measured: it uses the PBE geometry in Alexandria and Cu Kα, 1.54184 Å.
Intensities are scaled so that the largest is 100.

Atomic structure:
a b c (Å): 3.227 3.227 7.021
angles (deg): 90.00 90.00 90.00
Positions (direct):
Ca  0.000  0.000  0.000
Tc  0.000  0.000  0.500
Ge  0.500  0.500  0.304
Ge  0.500  0.500  0.696

Most intense lines, 10° ≤ 2θ ≤ 90°, by angle:
| 2θ/deg | Rel. int. |
| --- | --- |
| 12.61 | 63 |
| 37.87 | 100 |
| 39.49 | 57 |
| 41.62 | 14 |
| 48.02 | 26 |
| 57.08 | 19 |
| 67.30 | 8 |
| 70.56 | 30 |
| 77.74 | 13 |
| 80.27 | 7 |



# 6
Diffraction record for Hg2CN2Cl2. The X-ray powder pattern is simulated, not measured: it uses the PBE geometry in Alexandria and Cu Kα, 1.54184 Å.
Intensities are scaled so that the largest is 100.

Atomic structure:
a b c (Å): 8.162 9.223 8.710
angles (deg): 90.00 107.11 90.00
Positions (direct):
Hg  0.000  0.000  0.000
Hg  0.000  0.000  0.500
Hg  0.000  0.500  0.000
Hg  0.000  0.500  0.500
Hg  0.372  0.186  0.267
Hg  0.372  0.314  0.767
Hg  0.628  0.686  0.233
Hg  0.628  0.814  0.733
C  0.372  0.584  0.593
C  0.372  0.916  0.093
C  0.628  0.084  0.907
C  0.628  0.416  0.407
N  0.267  0.010  0.110
N  0.267  0.490  0.610
N  0.479  0.665  0.571
N  0.479  0.835  0.071
N  0.521  0.165  0.929
N  0.521  0.335  0.429
N  0.733  0.510  0.390
N  0.733  0.990  0.890
Cl  0.019  0.250  0.237
Cl  0.019  0.250  0.737
Cl  0.302  0.019  0.557
Cl  0.302  0.481  0.057
Cl  0.698  0.519  0.943
Cl  0.698  0.981  0.443
Cl  0.981  0.750  0.263
Cl  0.981  0.750  0.763

Most intense lines, 10° ≤ 2θ ≤ 90°, by angle:
| 2θ/deg | Rel. int. |
| --- | --- |
| 14.87 | 52 |
| 21.03 | 55 |
| 22.40 | 67 |
| 23.16 | 33 |
| 24.78 | 25 |
| 27.09 | 24 |
| 28.66 | 24 |
| 28.89 | 100 |
| 34.49 | 32 |
| 40.15 | 32 |



# 7
Diffraction record for Ca2H6PdAu. The X-ray powder pattern is simulated, not measured: it uses the PBE geometry in Alexandria and Cu Kα, 1.54184 Å.
Intensities are scaled so that the largest is 100.

Atomic structure:
a b c (Å): 5.633 5.633 5.633
angles (deg): 126.98 126.98 78.29
Positions (direct):
Ca  0.000  0.500  0.500
Ca  0.500  0.000  0.500
H  0.448  0.448  0.487
H  0.448  0.961  0.000
H  0.454  0.454  0.000
H  0.961  0.448  0.000
H  0.961  0.961  0.513
H  0.972  0.972  0.000
Pd  0.250  0.250  0.000
Au  0.768  0.768  0.000

Most intense lines, 10° ≤ 2θ ≤ 90°, by angle:
| 2θ/deg | Rel. int. |
| --- | --- |
| 20.35 | 41 |
| 25.04 | 32 |
| 32.47 | 100 |
| 35.70 | 45 |
| 41.34 | 13 |
| 41.44 | 22 |
| 51.38 | 18 |
| 55.74 | 23 |
| 62.12 | 30 |
| 67.98 | 14 |



# 8
Diffraction record for CdH5Br3N2. The X-ray powder pattern is simulated, not measured: it uses the PBE geometry in Alexandria and Cu Kα, 1.54184 Å.
Intensities are scaled so that the largest is 100.

Atomic structure:
a b c (Å): 3.900 20.270 9.552
angles (deg): 90.00 91.04 90.00
Positions (direct):
Cd  0.235  0.091  0.346
Cd  0.235  0.409  0.846
Cd  0.765  0.591  0.154
Cd  0.765  0.909  0.654
H  0.007  0.117  0.797
H  0.007  0.383  0.297
H  0.016  0.091  0.962
H  0.016  0.409  0.462
H  0.152  0.694  0.462
H  0.152  0.806  0.962
H  0.160  0.721  0.629
H  0.160  0.779  0.129
H  0.455  0.663  0.578
H  0.455  0.837  0.078
H  0.545  0.163  0.922
H  0.545  0.337  0.422
H  0.840  0.221  0.871
H  0.840  0.279  0.371
H  0.848  0.194  0.038
H  0.848  0.306  0.538
H  0.984  0.591  0.538
H  0.984  0.909  0.038
H  0.993  0.617  0.703
H  0.993  0.883  0.203
Br  0.226  0.214  0.235
Br  0.226  0.286  0.735
Br  0.254  0.596  0.952
Br  0.254  0.904  0.452
Br  0.270  0.535  0.324
Br  0.270  0.965  0.824
Br  0.730  0.035  0.176
Br  0.730  0.465  0.676
Br  0.746  0.096  0.548
Br  0.746  0.404  0.048
Br  0.774  0.714  0.265
Br  0.774  0.786  0.765
N  0.060  0.132  0.899
N  0.060  0.368  0.399
N  0.200  0.680  0.566
N  0.200  0.820  0.066
N  0.800  0.180  0.934
N  0.800  0.320  0.434
N  0.940  0.632  0.601
N  0.940  0.868  0.101

Most intense lines, 10° ≤ 2θ ≤ 90°, by angle:
| 2θ/deg | Rel. int. |
| --- | --- |
| 10.24 | 48 |
| 12.74 | 100 |
| 23.85 | 53 |
| 26.38 | 27 |
| 27.88 | 28 |
| 28.02 | 25 |
| 29.31 | 22 |
| 30.18 | 24 |
| 31.14 | 25 |
| 46.58 | 25 |



Which formula does entry 2 have? RuSe5